Entry 1:
Diffraction record for Nd3Dy3Cd. The powder X-ray diffraction pattern is simulated, not measured: it uses a DFT-relaxed cell (GGA-PBE, Alexandria) and Cu Ka.
Peak positions follow from Bragg's law for the DFT cell and can differ from measured ones.

Largest 12 diffraction maxima, in order of rising 2θ, 2θ = 10–90°:
(1 2 0), d = 3.124 Å, 28.6 deg, rel. 24; (0 0 2), d = 2.800 Å, 32.0 deg, rel. 24; (1 2 1), d = 2.728 Å, 32.8 deg, rel. 100; (1 2 2), d = 2.085 Å, 43.4 deg, rel. 16; (4 1 0), d = 1.803 Å, 50.6 deg, rel. 19; (1 2 3), d = 1.603 Å, 57.5 deg, rel. 20; (4 1 2), d = 1.516 Å, 61.1 deg, rel. 21; (2 4 1), d = 1.504 Å, 61.7 deg, rel. 15; (2 4 2), d = 1.364 Å, 68.8 deg, rel. 4; (2 4 3), d = 1.198 Å, 80.1 deg, rel. 7; (7 0 1), d = 1.155 Å, 83.7 deg, rel. 12; (4 1 4), d = 1.106 Å, 88.4 deg, rel. 8

Structure:
abc: 9.5429 9.5429 5.6008
angles: 90.00 90.00 120.00
Space group P6_3/m (No. 176)
Inequivalent atoms, fractional coordinates:
Nd: 0.1069 0.6327 0.2500 (multiplicity 6)
Dy: 0.0584 0.8216 0.7500 (multiplicity 6)
Cd: 0.3333 0.6667 0.7500 (multiplicity 2)



Entry 2:
Diffraction record for NdDyCdNi. The powder X-ray diffraction pattern is simulated, not measured: it uses a DFT-relaxed cell (GGA-PBE, Alexandria) and Cu Ka.
Peak positions follow from Bragg's law for the DFT cell and can differ from measured ones.

Largest 12 diffraction maxima, in order of rising 2θ, 2θ = 10–90°:
(1 1 1), d = 4.198 Å, 21.2 deg, rel. 3; (2 0 0), d = 3.635 Å, 24.5 deg, rel. 8; (2 2 0), d = 2.571 Å, 34.9 deg, rel. 100; (3 1 1), d = 2.192 Å, 41.2 deg, rel. 1; (2 2 2), d = 2.099 Å, 43.1 deg, rel. 3; (4 0 0), d = 1.818 Å, 50.2 deg, rel. 18; (4 2 0), d = 1.626 Å, 56.6 deg, rel. 4; (4 2 2), d = 1.484 Å, 62.6 deg, rel. 36; (4 4 0), d = 1.285 Å, 73.7 deg, rel. 11; (6 0 0), d = 1.212 Å, 79.0 deg, rel. 2; (6 2 0), d = 1.150 Å, 84.2 deg, rel. 16; (6 2 2), d = 1.096 Å, 89.4 deg, rel. 1

Structure:
abc: 7.271 7.271 7.271
angles: 90.00 90.00 90.00
Space group F-43m (No. 216)
Inequivalent atoms, fractional coordinates:
Nd: 0.000 0.000 0.000 (multiplicity 4)
Dy: 0.000 0.000 0.500 (multiplicity 4)
Cd: 0.250 0.250 0.750 (multiplicity 4)
Ni: 0.250 0.250 0.250 (multiplicity 4)



Entry 3:
Diffraction record for Nd2DyCd2Sn2. The powder X-ray diffraction pattern is simulated, not measured: it uses a DFT-relaxed cell (GGA-PBE, Alexandria) and Cu Ka.
Peak positions follow from Bragg's law for the DFT cell and can differ from measured ones.

Largest 12 diffraction maxima, in order of rising 2θ, 2θ = 10–90°:
(1 0 7), d = 2.881 Å, 31.0 deg, rel. 100; (0 1 8), d = 2.663 Å, 33.7 deg, rel. 37; (1 1 0), d = 2.501 Å, 35.9 deg, rel. 100; (0 2 7), d = 1.888 Å, 48.2 deg, rel. 29; (2 0 8), d = 1.823 Å, 50.0 deg, rel. 12; (2 1 7), d = 1.507 Å, 61.5 deg, rel. 28; (1 2 8), d = 1.473 Å, 63.1 deg, rel. 12; (1 1 15), d = 1.461 Å, 63.7 deg, rel. 27; (3 0 0), d = 1.444 Å, 64.5 deg, rel. 18; (2 2 0), d = 1.250 Å, 76.1 deg, rel. 11; (1 3 7), d = 1.147 Å, 84.5 deg, rel. 13; (3 0 15), d = 1.126 Å, 86.4 deg, rel. 12

Structure:
abc: 5.0013 5.0013 27.0087
angles: 90.00 90.00 120.00
Space group R-3m (No. 166, hexagonal axes)
Inequivalent atoms, fractional coordinates:
Nd: 0.0000 0.0000 0.1302 (multiplicity 6)
Dy: 0.0000 0.0000 0.0000 (multiplicity 3)
Cd: 0.0000 0.0000 0.4113 (multiplicity 6)
Sn: 0.0000 0.0000 0.2699 (multiplicity 6)



Entry 4:
Diffraction record for NdDyYCd. The powder X-ray diffraction pattern is simulated, not measured: it uses a DFT-relaxed cell (GGA-PBE, Alexandria) and Cu Ka.
Peak positions follow from Bragg's law for the DFT cell and can differ from measured ones.

Largest 12 diffraction maxima, in order of rising 2θ, 2θ = 10–90°:
(1 0 1), d = 3.378 Å, 26.4 deg, rel. 6; (1 0 2), d = 2.836 Å, 31.5 deg, rel. 100; (1 1 0), d = 2.575 Å, 34.8 deg, rel. 41; (0 0 4), d = 2.261 Å, 39.9 deg, rel. 11; (2 0 0), d = 1.821 Å, 50.1 deg, rel. 14; (1 1 4), d = 1.699 Å, 54.0 deg, rel. 18; (2 1 2), d = 1.532 Å, 60.4 deg, rel. 31; (2 0 4), d = 1.418 Å, 65.9 deg, rel. 10; (1 0 6), d = 1.393 Å, 67.2 deg, rel. 6; (3 0 2), d = 1.172 Å, 82.2 deg, rel. 6; (3 1 0), d = 1.152 Å, 84.0 deg, rel. 6; (2 1 6), d = 1.106 Å, 88.4 deg, rel. 6

Structure:
abc: 3.642 3.642 9.043
angles: 90.00 90.00 90.00
Space group P4mm (No. 99)
Inequivalent atoms, fractional coordinates:
Nd: 0.000 0.000 0.000 (multiplicity 1)
Dy: 0.500 0.500 0.277 (multiplicity 1)
Y: 0.500 0.500 0.718 (multiplicity 1)
Cd: 0.000 0.000 0.497 (multiplicity 1)



Entry 5:
Diffraction record for Dy12Cd6Ni. The powder X-ray diffraction pattern is simulated, not measured: it uses a DFT-relaxed cell (GGA-PBE, Alexandria) and Cu Ka.
Peak positions follow from Bragg's law for the DFT cell and can differ from measured ones.

Largest 12 diffraction maxima, in order of rising 2θ, 2θ = 10–90°:
(2 1 1), d = 3.777 Å, 23.6 deg, rel. 14; (1 0 4), d = 3.126 Å, 28.6 deg, rel. 60; (2 2 0), d = 3.013 Å, 29.7 deg, rel. 23; (1 3 1), d = 2.826 Å, 31.7 deg, rel. 100; (3 1 2), d = 2.648 Å, 33.9 deg, rel. 42; (3 -1 4), d = 2.520 Å, 35.6 deg, rel. 27; (2 2 3), d = 2.480 Å, 36.2 deg, rel. 82; (0 0 6), d = 2.183 Å, 41.4 deg, rel. 25; (6 -1 1), d = 1.855 Å, 49.1 deg, rel. 13; (1 3 7), d = 1.572 Å, 58.7 deg, rel. 13; (2 5 3), d = 1.561 Å, 59.2 deg, rel. 16; (5 3 2), d = 1.454 Å, 64.1 deg, rel. 12

Structure:
abc: 12.0504 12.0504 13.1040
angles: 90.00 90.00 120.00
Space group R-3 (No. 148, hexagonal axes)
Inequivalent atoms, fractional coordinates:
Dy: 0.0329 0.1841 0.3712 (multiplicity 18)
Dy: 0.0384 0.8506 0.8910 (multiplicity 18)
Cd: 0.0012 0.6038 0.7593 (multiplicity 18)
Ni: 0.0000 0.0000 0.5000 (multiplicity 3)



Entry 6:
Diffraction record for Dy8Cd2Ni. The powder X-ray diffraction pattern is simulated, not measured: it uses a DFT-relaxed cell (GGA-PBE, Alexandria) and Cu Ka.
Peak positions follow from Bragg's law for the DFT cell and can differ from measured ones.

Largest 12 diffraction maxima, in order of rising 2θ, 2θ = 10–90°:
(4 0 -2), d = 3.086 Å, 28.9 deg, rel. 22; (3 1 1), d = 3.011 Å, 29.7 deg, rel. 36; (5 1 -1), d = 2.893 Å, 30.9 deg, rel. 26; (1 1 -2), d = 2.862 Å, 31.3 deg, rel. 24; (5 1 0), d = 2.812 Å, 31.8 deg, rel. 100; (0 2 0), d = 2.674 Å, 33.5 deg, rel. 70; (1 1 2), d = 2.611 Å, 34.4 deg, rel. 62; (5 1 -2), d = 2.496 Å, 36.0 deg, rel. 31; (4 2 -2), d = 2.021 Å, 44.8 deg, rel. 13; (5 3 0), d = 1.569 Å, 58.9 deg, rel. 20; (8 2 1), d = 1.496 Å, 62.1 deg, rel. 12; (0 4 0), d = 1.337 Å, 70.4 deg, rel. 16

Structure:
abc: 17.517 5.348 6.844
angles: 90.00 109.22 90.00
Space group C2/m (No. 12)
Inequivalent atoms, fractional coordinates:
Dy: 0.020 0.000 0.281 (multiplicity 4)
Dy: 0.091 0.500 0.924 (multiplicity 4)
Dy: 0.148 0.500 0.449 (multiplicity 4)
Dy: 0.199 0.000 0.785 (multiplicity 4)
Cd: 0.184 0.000 0.213 (multiplicity 4)
Ni: 0.000 0.500 0.500 (multiplicity 2)



Entry 7:
Diffraction record for Dy11Cd9Ni4. The powder X-ray diffraction pattern is simulated, not measured: it uses a DFT-relaxed cell (GGA-PBE, Alexandria) and Cu Ka.
Peak positions follow from Bragg's law for the DFT cell and can differ from measured ones.

Largest 12 diffraction maxima, in order of rising 2θ, 2θ = 10–90°:
(3 5 0), d = 3.242 Å, 27.5 deg, rel. 10; (3 1 1), d = 2.845 Å, 31.4 deg, rel. 12; (3 3 1), d = 2.669 Å, 33.6 deg, rel. 10; (4 6 0), d = 2.569 Å, 34.9 deg, rel. 42; (0 6 1), d = 2.544 Å, 35.3 deg, rel. 100; (3 5 1), d = 2.399 Å, 37.5 deg, rel. 15; (1 9 0), d = 2.392 Å, 37.6 deg, rel. 9; (6 2 0), d = 2.362 Å, 38.1 deg, rel. 12; (0 0 2), d = 1.781 Å, 51.3 deg, rel. 14; (4 12 1), d = 1.478 Å, 62.9 deg, rel. 9; (4 6 2), d = 1.464 Å, 63.6 deg, rel. 14; (0 6 3), d = 1.129 Å, 86.1 deg, rel. 8

Structure:
abc: 14.518 21.826 3.563
angles: 90.00 90.00 90.00
Space group Cmmm (No. 65)
Inequivalent atoms, fractional coordinates:
Dy: 0.000 0.000 0.000 (multiplicity 2)
Dy: 0.000 0.161 0.000 (multiplicity 4)
Dy: 0.000 0.373 0.000 (multiplicity 4)
Dy: 0.189 0.500 0.000 (multiplicity 4)
Dy: 0.250 0.167 0.000 (multiplicity 8)
Cd: 0.000 0.500 0.500 (multiplicity 2)
Cd: 0.104 0.262 0.500 (multiplicity 8)
Cd: 0.148 0.071 0.500 (multiplicity 8)
Ni: 0.149 0.400 0.500 (multiplicity 8)



Entry 8:
Diffraction record for Dy2CdO4. The powder X-ray diffraction pattern is simulated, not measured: it uses a DFT-relaxed cell (GGA-PBE, Alexandria) and Cu Ka.
Peak positions follow from Bragg's law for the DFT cell and can differ from measured ones.

Largest 12 diffraction maxima, in order of rising 2θ, 2θ = 10–90°:
(2 0 0), d = 3.729 Å, 23.9 deg, rel. 27; (2 1 1), d = 3.009 Å, 29.7 deg, rel. 76; (1 1 2), d = 2.908 Å, 30.7 deg, rel. 100; (2 2 0), d = 2.637 Å, 34.0 deg, rel. 36; (3 0 1), d = 2.342 Å, 38.4 deg, rel. 43; (1 0 3), d = 2.219 Å, 40.7 deg, rel. 16; (3 2 1), d = 1.983 Å, 45.8 deg, rel. 16; (3 1 2), d = 1.953 Å, 46.5 deg, rel. 44; (4 1 1), d = 1.751 Å, 52.2 deg, rel. 14; (2 0 4), d = 1.579 Å, 58.4 deg, rel. 28; (3 2 3), d = 1.545 Å, 59.9 deg, rel. 23; (4 3 1), d = 1.459 Å, 63.8 deg, rel. 27

Structure:
abc: 7.458 7.458 6.973
angles: 90.00 90.00 90.00
Space group I-42d (No. 122)
Inequivalent atoms, fractional coordinates:
Dy: 0.183 0.750 0.125 (multiplicity 8)
Cd: 0.000 0.000 0.500 (multiplicity 4)
O: 0.058 0.712 0.416 (multiplicity 16)



Entry 9:
Diffraction record for DyPaCd2O6. The powder X-ray diffraction pattern is simulated, not measured: it uses a DFT-relaxed cell (GGA-PBE, Alexandria) and Cu Ka.
Peak positions follow from Bragg's law for the DFT cell and can differ from measured ones.

Largest 12 diffraction maxima, in order of rising 2θ, 2θ = 10–90°:
(0 1 2), d = 4.207 Å, 21.1 deg, rel. 33; (1 0 4), d = 3.059 Å, 29.2 deg, rel. 100; (1 1 0), d = 2.897 Å, 30.9 deg, rel. 92; (0 2 4), d = 2.104 Å, 43.0 deg, rel. 41; (1 1 6), d = 1.924 Å, 47.2 deg, rel. 32; (0 1 8), d = 1.801 Å, 50.7 deg, rel. 13; (2 1 4), d = 1.702 Å, 53.9 deg, rel. 39; (3 0 0), d = 1.673 Å, 54.9 deg, rel. 26; (1 0 10), d = 1.476 Å, 63.0 deg, rel. 12; (2 2 0), d = 1.449 Å, 64.3 deg, rel. 12; (4 -3 4), d = 1.309 Å, 72.1 deg, rel. 15; (3 -1 10), d = 1.197 Å, 80.2 deg, rel. 11

Structure:
abc: 5.7944 5.7944 15.4371
angles: 90.00 90.00 120.00
Space group R3 (No. 146, hexagonal axes)
Inequivalent atoms, fractional coordinates:
Dy: 0.0000 0.0000 0.0000 (multiplicity 3)
Pa: 0.0000 0.0000 0.4969 (multiplicity 3)
Cd: 0.0000 0.0000 0.2798 (multiplicity 3)
Cd: 0.0000 0.0000 0.7828 (multiplicity 3)
O: 0.0438 0.6974 0.5688 (multiplicity 9)
O: 0.0516 0.3619 0.0718 (multiplicity 9)



Entry 10:
Diffraction record for DyCdTe2O8. The powder X-ray diffraction pattern is simulated, not measured: it uses a DFT-relaxed cell (GGA-PBE, Alexandria) and Cu Ka.
Peak positions follow from Bragg's law for the DFT cell and can differ from measured ones.

Largest 12 diffraction maxima, in order of rising 2θ, 2θ = 10–90°:
(2 0 0), d = 3.695 Å, 24.1 deg, rel. 100; (1 1 2), d = 2.845 Å, 31.4 deg, rel. 80; (2 2 0), d = 2.613 Å, 34.3 deg, rel. 25; (3 1 2), d = 1.924 Å, 47.2 deg, rel. 65; (4 0 0), d = 1.848 Å, 49.3 deg, rel. 16; (4 2 0), d = 1.653 Å, 55.6 deg, rel. 16; (3 3 2), d = 1.550 Å, 59.7 deg, rel. 19; (2 0 4), d = 1.541 Å, 60.0 deg, rel. 14; (2 2 4), d = 1.423 Å, 65.6 deg, rel. 11; (5 1 2), d = 1.333 Å, 70.7 deg, rel. 15; (5 3 2), d = 1.187 Å, 81.0 deg, rel. 12; (4 2 4), d = 1.184 Å, 81.3 deg, rel. 12

Structure:
abc: 7.391 7.391 6.783
angles: 90.00 90.00 90.00
Space group I-4m2 (No. 119)
Inequivalent atoms, fractional coordinates:
Dy: 0.000 0.000 0.000 (multiplicity 2)
Cd: 0.000 0.500 0.750 (multiplicity 2)
Te: 0.000 0.000 0.500 (multiplicity 2)
Te: 0.000 0.500 0.250 (multiplicity 2)
O: 0.000 0.184 0.694 (multiplicity 8)
O: 0.000 0.309 0.065 (multiplicity 8)